Starting from a structure optimized by DFT (PBE), the XRD peak list of GePt2 was simulated for a wavelength of 1.5418 Å.
Peak positions follow from Bragg's law for the DFT cell and can differ from measured ones.

Principal peaks in the range 2θ from 10° to 90°, by angle:
- 2θ = 26.27°, d 3.393, I = 12, (1 1 0)
- 2θ = 36.51°, d 2.461, I = 100, (1 1 1)
- 2θ = 39.71°, d 2.270, I = 28, (2 0 1)
- 2θ = 40.62°, d 2.221, I = 23, (2 1 0)
- 2θ = 46.35°, d 1.959, I = 35, (3 0 0)
- 2θ = 48.24°, d 1.887, I = 8, (2 1 1)
- 2θ = 51.10°, d 1.787, I = 15, (0 0 2)
- 2θ = 60.40°, d 1.533, I = 12, (2 2 1)
- 2θ = 67.23°, d 1.393, I = 11, (2 1 2)
- 2θ = 71.44°, d 1.320, I = 20, (3 0 2)
- 2θ = 75.34°, d 1.261, I = 16, (3 2 1)
- 2θ = 86.58°, d 1.124, I = 9, (1 1 3)

Atomic structure:
Cell lengths 6.786, 6.786, 3.575 Å; angles 90.00, 90.00, 120.00 degrees
Element x y z (fractional)
1 Ge 0.000 0.000 0.000
2 Ge 0.333 0.667 0.500
3 Ge 0.667 0.333 0.500
4 Pt 0.000 0.281 0.500
5 Pt 0.000 0.619 0.000
6 Pt 0.281 0.000 0.500
7 Pt 0.381 0.381 0.000
8 Pt 0.619 0.000 0.000
9 Pt 0.719 0.719 0.500